This entry pairs a crystal structure of CaPm6Sm6 with its computed powder diffraction line list. Radiation: copper Kα. Structure: a cell relaxed with GGA-PBE.
Peak positions follow from Bragg's law for the DFT cell and can differ from measured ones.

Main lines, by angle (2θ from 10° to 90°):
(hkl)	2theta	I (rel.)
1 1 0	26.09	25
2 0 0	30.22	39
1 1 2	30.41	61
0 0 4	30.99	23
2 0 2	34.06	100
1 0 4	34.58	39
2 1 4	51.72	25
2 2 0	53.68	29

Cell: 6.8299 6.8299 11.5442 Å, 90.00 90.00 120.00°
Sites, in units of the cell vectors:
Ca  0.0000  0.0000  0.0000
Pm  0.0000  0.0000  0.3496
Pm  0.0000  0.0000  0.6504
Pm  0.3333  0.6667  0.0000
Pm  0.3333  0.6667  0.5000
Pm  0.6667  0.3333  0.0000
Pm  0.6667  0.3333  0.5000
Sm  0.0000  0.5000  0.2499
Sm  0.0000  0.5000  0.7501
Sm  0.5000  0.0000  0.2499
Sm  0.5000  0.0000  0.7501
Sm  0.5000  0.5000  0.2499
Sm  0.5000  0.5000  0.7501